1.
Structure and simulated powder XRD pattern of MnCdO2 (a PBE+U-relaxed structure; Cu Kα, 1.54184 Å).
Peak positions follow from Bragg's law for the DFT cell and can differ from measured ones.

Principal peaks in the range 10° ≤ 2θ ≤ 90°, by angle:
hkl 0 0 3, 16.53°, intensity 19
hkl 1 0 1, 31.98°, intensity 15
hkl 0 0 6, 33.43°, intensity 93
hkl 1 0 4, 38.80°, intensity 100
hkl 0 1 5, 42.43°, intensity 8
hkl 0 0 9, 51.10°, intensity 5
hkl 1 1 0, 56.03°, intensity 62
hkl 1 0 10, 66.84°, intensity 38
hkl 0 2 4, 70.24°, intensity 19
hkl 2 0 8, 83.25°, intensity 9

Crystal structure
```
data_MnCdO2
_cell_length_a 3.2814
_cell_length_b 3.2814
_cell_length_c 16.0920
_cell_angle_alpha 90.00
_cell_angle_beta 90.00
_cell_angle_gamma 120.00
_symmetry_space_group_name_H-M 'R -3 m'
_symmetry_Int_Tables_number 166
_symmetry_space_group_name_Hall '-R 3 2"'
loop_
_atom_site_label
_atom_site_fract_x
_atom_site_fract_y
_atom_site_fract_z
Mn1 0.0000 0.0000 0.0000
Cd1 0.0000 0.0000 0.5000
O1 0.0000 0.0000 0.2569
```

2.
Structure and simulated powder XRD pattern of RbFeS2O8 (a PBE+U-relaxed structure; Cu Kα, 1.54184 Å).
Peak positions follow from Bragg's law for the DFT cell and can differ from measured ones.

Principal peaks in the range 10° ≤ 2θ ≤ 90°, by angle:
hkl 1 0 0, 20.87°, intensity 39
hkl 1 0 1, 23.32°, intensity 64
hkl 0 1 2, 29.54°, intensity 100
hkl 1 1 0, 36.56°, intensity 42
hkl 1 1 2, 42.39°, intensity 16
hkl 1 0 4, 47.41°, intensity 21
hkl 0 2 2, 47.68°, intensity 29
hkl 1 1 4, 56.94°, intensity 15
hkl 0 2 4, 61.32°, intensity 11
hkl 1 2 2, 61.54°, intensity 22

Crystal structure
```
data_RbFeS2O8
_cell_length_a 4.9159
_cell_length_b 4.9159
_cell_length_c 8.5903
_cell_angle_alpha 90.00
_cell_angle_beta 90.00
_cell_angle_gamma 120.00
_symmetry_space_group_name_H-M 'P 3 2 1'
_symmetry_Int_Tables_number 150
loop_
_symmetry_equiv_pos_as_xyz
'x,y,z'
'-y,x-y,z'
'-x+y,-x,z'
'y,x,-z'
'x-y,-y,-z'
'-x,-x+y,-z'
loop_
_atom_site_label
_atom_site_fract_x
_atom_site_fract_y
_atom_site_fract_z
Rb1 0.0000 0.0000 0.0000
Fe1 0.0000 0.0000 0.5000
S1 0.3333 0.6667 0.7043
O1 0.0898 0.3500 0.6474
O2 0.3333 0.6667 0.8751
```

3.
Structure and simulated powder XRD pattern of CoPO4 (a PBE+U-relaxed structure; Cu Kα, 1.54184 Å).
Peak positions follow from Bragg's law for the DFT cell and can differ from measured ones.

Principal peaks in the range 10° ≤ 2θ ≤ 90°, by angle:
hkl 2 0 -2, 12.58°, intensity 100
hkl 0 0 2, 12.78°, intensity 73
hkl 1 1 -1, 18.92°, intensity 46
hkl 4 0 0, 22.09°, intensity 44
hkl 1 1 -3, 25.04°, intensity 41
hkl 3 1 1, 27.11°, intensity 74
hkl 6 0 -2, 29.84°, intensity 33
hkl 5 1 -3, 31.43°, intensity 46
hkl 3 1 3, 35.72°, intensity 48
hkl 0 2 0, 36.12°, intensity 51

Crystal structure
```
data_CoPO4
_cell_length_a 18.0095
_cell_length_b 4.9756
_cell_length_c 15.5008
_cell_angle_alpha 90.00
_cell_angle_beta 116.67
_cell_angle_gamma 90.00
_symmetry_space_group_name_H-M 'C 1 2/c 1'
_symmetry_Int_Tables_number 15
loop_
_symmetry_equiv_pos_as_xyz
'x,y,z'
'-x,-y,-z'
'-x,y,-z+1/2'
'x,-y,z+1/2'
'x+1/2,y+1/2,z'
'-x+1/2,-y+1/2,-z'
'-x+1/2,y+1/2,-z+1/2'
'x+1/2,-y+1/2,z+1/2'
loop_
_atom_site_label
_atom_site_fract_x
_atom_site_fract_y
_atom_site_fract_z
Co1 0.0000 0.1775 0.2500
Co2 0.0993 0.1937 0.4728
Co3 0.2500 0.2500 0.0000
P1 0.0151 0.2914 0.6198
P2 0.2147 0.2334 0.3659
O1 0.0055 0.4065 0.1389
O2 0.0544 0.1214 0.7112
O3 0.0720 0.2774 0.5675
O4 0.0735 0.1847 0.9502
O5 0.1298 0.2580 0.3711
O6 0.2059 0.2954 0.2669
O7 0.2225 0.0646 0.5540
O8 0.2468 0.4496 0.0986
```

4.
Structure and simulated powder XRD pattern of Li5V2Ni3O10 (a PBE+U-relaxed structure; Cu Kα, 1.54184 Å).
Peak positions follow from Bragg's law for the DFT cell and can differ from measured ones.

Principal peaks in the range 10° ≤ 2θ ≤ 90°, by angle:
hkl 0 1 0, 12.52°, intensity 84
hkl 0 0 2, 18.41°, intensity 100
hkl 1 1 2, 22.77°, intensity 17
hkl 1 2 0, 26.84°, intensity 17
hkl -1 2 2, 37.35°, intensity 20
hkl 1 -2 2, 42.83°, intensity 59
hkl 1 3 4, 43.52°, intensity 61
hkl 2 1 -2, 43.86°, intensity 53
hkl 2 1 6, 62.40°, intensity 17
hkl 3 4 2, 63.51°, intensity 29

Crystal structure
```
data_Li5V2Ni3O10
_cell_length_a 5.1020
_cell_length_b 7.7712
_cell_length_c 10.2210
_cell_angle_alpha 71.19
_cell_angle_beta 79.54
_cell_angle_gamma 71.60
_symmetry_space_group_name_H-M 'P -1'
_symmetry_Int_Tables_number 2
loop_
_symmetry_equiv_pos_as_xyz
'x,y,z'
'-x,-y,-z'
loop_
_atom_site_label
_atom_site_fract_x
_atom_site_fract_y
_atom_site_fract_z
Li1 0.0008 0.0017 0.2480
Li2 0.0883 0.3043 0.5022
Li3 0.1042 0.2936 0.0050
Li4 0.2867 0.8997 0.5006
Li5 0.2886 0.8967 0.9997
V1 0.3966 0.1977 0.7568
V2 0.3999 0.1909 0.2591
Ni1 0.1959 0.6012 0.2514
Ni2 0.1966 0.6003 0.7524
Ni3 0.5000 0.5000 0.0000
Ni4 0.5000 0.5000 0.5000
O1 0.0781 0.1573 0.8651
O2 0.0787 0.1582 0.3657
O3 0.1651 0.4385 0.6312
O4 0.1731 0.4280 0.1352
O5 0.2824 0.7470 0.8671
O6 0.2816 0.7483 0.3685
O7 0.3637 0.0500 0.1409
O8 0.3710 0.0324 0.6395
O9 0.4501 0.3394 0.3679
O10 0.4515 0.3471 0.8694
```

5.
Structure and simulated powder XRD pattern of Li3MnFe2B3O9 (a PBE+U-relaxed structure; Cu Kα, 1.54184 Å).
Peak positions follow from Bragg's law for the DFT cell and can differ from measured ones.

Principal peaks in the range 10° ≤ 2θ ≤ 90°, by angle:
hkl 1 0 -2, 21.51°, intensity 100
hkl 1 2 -1, 31.09°, intensity 16
hkl 3 0 -1, 33.12°, intensity 15
hkl 1 2 -2, 35.91°, intensity 78
hkl 3 0 -3, 37.71°, intensity 32
hkl 2 0 -4, 43.83°, intensity 15
hkl 3 2 0, 47.88°, intensity 28
hkl 2 2 2, 53.05°, intensity 25
hkl 4 2 -3, 54.70°, intensity 17
hkl 1 2 4, 66.91°, intensity 13

Crystal structure
```
data_Li3MnFe2B3O9
_cell_length_a 8.2604
_cell_length_b 6.2843
_cell_length_c 8.2608
_cell_angle_alpha 90.00
_cell_angle_beta 119.94
_cell_angle_gamma 90.00
_symmetry_space_group_name_H-M 'P 1 m 1'
_symmetry_Int_Tables_number 6
loop_
_symmetry_equiv_pos_as_xyz
'x,y,z'
'x,-y,z'
loop_
_atom_site_label
_atom_site_fract_x
_atom_site_fract_y
_atom_site_fract_z
Li1 0.0000 0.2488 0.0000
Li2 0.3163 0.2495 0.7299
Li3 0.5864 0.2499 0.3177
Mn1 0.2893 0.5000 0.3761
Mn2 0.6727 0.5000 0.0282
Fe1 0.2950 0.0000 0.3768
Fe2 0.6686 0.0000 0.0231
Fe3 0.9410 0.0000 0.6487
Fe4 0.9424 0.5000 0.6501
B1 0.3004 0.5000 0.0132
B2 0.3010 0.0000 0.0165
B3 0.6360 0.2465 0.6833
B4 0.9671 0.2465 0.3503
O1 0.0464 0.2490 0.5435
O2 0.0807 0.2459 0.2705
O3 0.1064 0.5000 0.9322
O4 0.1078 0.0000 0.9305
O5 0.3800 0.5000 0.8999
O6 0.3877 0.0000 0.9093
O7 0.4086 0.0000 0.2105
O8 0.4124 0.5000 0.2063
O9 0.4428 0.2465 0.5764
O10 0.7222 0.2459 0.8762
O11 0.7432 0.2498 0.5965
O12 0.7744 0.2466 0.2366
```

6.
Structure and simulated powder XRD pattern of MgV2Te2O7F2 (a PBE+U-relaxed structure; Cu Kα, 1.54184 Å).
Peak positions follow from Bragg's law for the DFT cell and can differ from measured ones.

Principal peaks in the range 10° ≤ 2θ ≤ 90°, by angle:
hkl 0 1 0, 17.58°, intensity 66
hkl 0 1 -1, 18.93°, intensity 67
hkl 1 -1 0, 21.87°, intensity 63
hkl 0 1 -2, 26.45°, intensity 75
hkl 1 1 0, 28.89°, intensity 93
hkl 1 0 -2, 29.39°, intensity 100
hkl 1 -1 2, 30.59°, intensity 78
hkl 0 1 2, 33.02°, intensity 49
hkl 1 -2 0, 35.51°, intensity 73
hkl 2 1 -2, 49.09°, intensity 56

Crystal structure
```
data_MgV2Te2O7F2
_cell_length_a 4.9846
_cell_length_b 5.3604
_cell_length_c 7.6116
_cell_angle_alpha 102.34
_cell_angle_beta 90.55
_cell_angle_gamma 105.01
_symmetry_space_group_name_H-M 'P -1'
_symmetry_Int_Tables_number 2
loop_
_symmetry_equiv_pos_as_xyz
'x,y,z'
'-x,-y,-z'
loop_
_atom_site_label
_atom_site_fract_x
_atom_site_fract_y
_atom_site_fract_z
Mg1 0.0000 0.0000 0.0000
V1 0.2734 0.6231 0.1312
Te1 0.3388 0.7091 0.6480
O1 0.0000 0.5000 0.5000
O2 0.1116 0.6501 0.8681
O3 0.2492 0.9680 0.2088
O4 0.4977 0.4206 0.6545
F1 0.3393 0.2716 0.9654
```